(1)
For RbFeBP2HO9, a PBE+U-relaxed structure gives the calculated X-ray powder pattern in this record (λ = 1.5418 Å (Cu Kα)).

Principal peaks in the range 5° ≤ 2θ ≤ 70°, sorted by position:
2theta  d/Å  I/Imax  index
14.11  6.278  34  1 1 0
23.67  3.759  39  2 0 -2
25.56  3.485  100  1 2 1
29.45  3.033  53  1 1 -3
30.24  2.956  31  3 1 -1
31.19  2.868  57  2 2 1

Crystal structure
```
RbFeBP2HO9
1.0
9.5224 0.0000 0.0000
0.0000 8.4981 0.0000
-2.0421 0.0000 9.6225
Rb Fe B P H O
4 4 4 8 4 36
direct
0.1948 0.1005 0.0645
0.1948 0.3995 0.5645
0.8052 0.6005 0.4355
0.8052 0.8995 0.9355
0.2062 0.6572 0.9309
0.2062 0.8428 0.4309
0.7938 0.1572 0.5691
0.7938 0.3428 0.0691
0.3364 0.0575 0.6938
0.3364 0.4425 0.1938
0.6636 0.5575 0.8062
0.6636 0.9425 0.3062
0.0762 0.5621 0.2072
0.0762 0.9379 0.7072
0.4207 0.7408 0.7167
0.4207 0.7592 0.2167
0.5793 0.2408 0.7833
0.5793 0.2592 0.2833
0.9238 0.0621 0.2928
0.9238 0.4379 0.7928
0.4008 0.0787 0.5059
0.4008 0.4213 0.0059
0.5992 0.5787 0.9941
0.5992 0.9213 0.4941
0.0729 0.5116 0.8080
0.0729 0.9884 0.3080
0.0913 0.6642 0.0819
0.0913 0.8358 0.5819
0.1053 0.6541 0.3463
0.1053 0.8459 0.8463
0.1921 0.0751 0.7256
0.1921 0.4249 0.2256
0.3145 0.0518 0.5394
0.3145 0.4482 0.0394
0.3438 0.6331 0.8030
0.3438 0.8669 0.3030
0.3651 0.7202 0.5603
0.3651 0.7798 0.0603
0.4138 0.2027 0.7471
0.4138 0.2973 0.2471
0.4142 0.5825 0.2613
0.4142 0.9175 0.7613
0.5858 0.0825 0.2387
0.5858 0.4175 0.7387
0.5862 0.7027 0.7529
0.5862 0.7973 0.2529
0.6349 0.2202 0.9397
0.6349 0.2798 0.4397
0.6562 0.1331 0.6970
0.6562 0.3669 0.1970
0.6855 0.5518 0.9606
0.6855 0.9482 0.4606
0.8079 0.5751 0.7744
0.8079 0.9249 0.2744
0.8947 0.1541 0.1537
0.8947 0.3459 0.6537
0.9087 0.1642 0.4181
0.9087 0.3358 0.9181
0.9271 0.0116 0.6920
0.9271 0.4884 0.1920
```

(2)
For Na4FeO4, a PBE+U-relaxed structure gives the calculated X-ray powder pattern in this record (λ = 1.5418 Å (Cu Kα)).

Principal peaks in the range 5° ≤ 2θ ≤ 70°, sorted by position:
2theta  d/Å  I/Imax  index
17.18  5.162  82  1 0 0
32.59  2.748  65  1 0 -2
35.15  2.553  63  1 1 3
37.62  2.391  91  2 2 1
38.42  2.343  100  1 -1 3
40.30  2.238  78  -1 1 2

Crystal structure
```
Na4FeO4
1.0
5.8286 0.0000 0.0000
2.0681 5.4499 0.0000
2.6121 -0.6527 7.9276
Na Fe O
8 2 8
direct
0.0494 0.2244 0.4323
0.2082 0.2437 0.0190
0.2404 0.7370 0.1693
0.4140 0.2838 0.6285
0.5860 0.7162 0.3715
0.7596 0.2630 0.8307
0.7918 0.7563 0.9810
0.9506 0.7756 0.5677
0.4060 0.7797 0.7499
0.5940 0.2203 0.2501
0.1714 0.9985 0.6623
0.2380 0.6075 0.8984
0.3128 0.4718 0.3833
0.4366 0.0254 0.1985
0.5634 0.9746 0.8015
0.6872 0.5282 0.6167
0.7620 0.3925 0.1016
0.8286 0.0015 0.3377
```

(3)
For La4Ni3MoO12, a PBE+U-relaxed structure gives the calculated X-ray powder pattern in this record (λ = 1.5418 Å (Cu Kα)).

Principal peaks in the range 5° ≤ 2θ ≤ 70°, sorted by position:
2theta  d/Å  I/Imax  index
31.81  2.813  100  1 1 2
32.22  2.778  53  2 0 0
39.40  2.287  17  2 0 2
46.21  1.964  34  2 2 0
57.20  1.611  39  3 1 2
66.48  1.406  15  2 2 4

Crystal structure
```
La4Ni3MoO12
1.0
5.5563 0.0000 0.0000
0.0000 5.5563 0.0000
0.0000 0.0000 8.0577
La Ni Mo O
4 3 1 12
direct
0.0000 0.5000 0.2202
0.0000 0.5000 0.7798
0.5000 0.0000 0.2202
0.5000 0.0000 0.7798
0.0000 0.0000 0.0000
0.0000 0.0000 0.5000
0.5000 0.5000 0.0000
0.5000 0.5000 0.5000
0.0000 0.0000 0.2527
0.0000 0.0000 0.7473
0.2517 0.2517 0.0000
0.2517 0.7483 0.0000
0.2574 0.2574 0.5000
0.2574 0.7426 0.5000
0.5000 0.5000 0.2560
0.5000 0.5000 0.7440
0.7426 0.2574 0.5000
0.7426 0.7426 0.5000
0.7483 0.2517 0.0000
0.7483 0.7483 0.0000
```